For Ti5CrP6O24, a GGA+U-relaxed structure gives the computed X-ray powder pattern in this record (copper Kα).
Lines closer than 0.1° are merged.

The 8 most intense peaks (15 to 90 degrees two-theta), sorted by position:
hkl 1 1 0, 20.28 deg, d = 4.379 Å, I = 584; hkl 2 -1 3, 24.30 deg, d = 3.663 Å, I = 1000; hkl 2 0 2, 25.10 deg, d = 3.547 Å, I = 180; hkl 3 -1 1, 31.52 deg, d = 2.838 Å, I = 179; hkl 2 -1 6, 33.73 deg, d = 2.657 Å, I = 410; hkl 3 0 0, 35.50 deg, d = 2.528 Å, I = 279; hkl 3 -2 8, 48.22 deg, d = 1.887 Å, I = 294; hkl 1 4 0, 55.52 deg, d = 1.655 Å, I = 207

Structure:
a = 8.7588 Å, b = 8.7588 Å, c = 20.0549 Å
α = 90.00°, β = 90.00°, γ = 120.00°
Space group R3 (No. 146, hexagonal axes)
Unique sites:
Ti 0.0000 0.0000 0.0000
Ti 0.0000 0.0000 0.1283
Ti 0.0000 0.0000 0.4992
Ti 0.0000 0.0000 0.6351
Ti 0.0000 0.0000 0.7765
Cr 0.0000 0.0000 0.2743
P 0.0059 0.2896 0.3857
P 0.0061 0.7116 0.8871
O 0.0141 0.8257 0.5640
O 0.0172 0.8137 0.9499
O 0.0184 0.1929 0.0636
O 0.0178 0.1993 0.4489
O 0.1410 0.4718 0.9892
O 0.1471 0.6760 0.4915
O 0.1666 0.4817 0.3761
O 0.1683 0.6858 0.8732